The following is a computed powder diffraction line list of K2Ho4Ag4S9. It was derived from a crystal structure in OQMD, relaxed with PBE, using Cu Kα.
Peak positions follow from Bragg's law for the DFT cell and can differ from measured ones.

Main lines, by angle (2θ from 10° to 90°):
| two_theta | Rel. int. |
| --- | --- |
| 13.14 | 100 |
| 25.10 | 71 |
| 26.58 | 45 |
| 27.34 | 52 |
| 29.17 | 41 |
| 30.10 | 46 |
| 31.43 | 63 |
| 36.76 | 42 |
| 38.44 | 44 |
| 44.34 | 47 |

```
data_K2Ho4Ag4S9
_cell_length_a 14.299
_cell_length_b 4.086
_cell_length_c 16.264
_cell_angle_alpha 90.00
_cell_angle_beta 109.57
_cell_angle_gamma 90.00
_space_group_name_H-M_alt 'C 1 2/m 1'
_space_group_IT_number 12
_space_group_name_Hall '-C 2y'
loop_
_atom_site_label
_atom_site_fract_x
_atom_site_fract_y
_atom_site_fract_z
K1 0.033 0.000 0.274
Ho1 0.152 0.500 0.555
Ho2 0.234 0.000 0.108
Ag1 0.065 0.500 0.950
Ag2 0.241 0.000 0.726
S1 0.000 0.000 0.500
S2 0.118 0.500 0.130
S3 0.136 0.500 0.720
S4 0.155 0.000 0.926
S5 0.209 0.500 0.408
```